This entry pairs a crystal structure of LaPr8Tm3 with its theoretical PXRD pattern. Radiation: Cu Kα. Structure: DFT lattice parameters and positions (PBE).
No peak broadening, texture or thermal motion is included.

Peak list (10 most intense, 10° ≤ 2θ ≤ 80°, most intense first)
| two_theta | I_rel | h k l |
| --- | --- | --- |
| 29.87 | 100.0 | 2 0 0 |
| 34.65 | 67.5 | 0 0 2 |
| 29.96 | 33.1 | 2 0 -2 |
| 59.12 | 28.8 | 4 6 -1 |
| 49.75 | 24.2 | 2 6 1 |
| 49.88 | 24.1 | 4 0 -2 |
| 59.24 | 24.0 | 2 0 2 |
| 62.06 | 8.3 | 0 12 2 |
| 73.05 | 5.1 | 4 12 -2 |
| 59.36 | 4.8 | 2 0 -4 |

Cell and atoms:
Unit cell a=7.3202 b=22.0051 c=6.3234 alpha=90.00 beta=125.17 gamma=90.00
Space group C2 (No. 5)
Unique sites:
La  0.0000  0.0000  0.0000 (multiplicity 2)
Pr  0.0000  0.0820  0.5000 (multiplicity 2)
Pr  0.0000  0.1674  0.0000 (multiplicity 2)
Pr  0.0000  0.2513  0.5000 (multiplicity 2)
Pr  0.0000  0.4170  0.5000 (multiplicity 2)
Pr  0.0000  0.4984  0.0000 (multiplicity 2)
Pr  0.0000  0.6658  0.0000 (multiplicity 2)
Pr  0.0000  0.7512  0.5000 (multiplicity 2)
Pr  0.0000  0.8343  0.0000 (multiplicity 2)
Tm  0.0000  0.3347  0.0000 (multiplicity 2)
Tm  0.0000  0.5836  0.5000 (multiplicity 2)
Tm  0.0000  0.9150  0.5000 (multiplicity 2)

***

This entry pairs a crystal structure of La8PrTm2 with its theoretical PXRD pattern. Radiation: Cu Kα. Structure: DFT lattice parameters and positions (PBE).
No peak broadening, texture or thermal motion is included.

Peak list (10 most intense, 10° ≤ 2θ ≤ 80°, most intense first)
| two_theta | I_rel | h k l |
| --- | --- | --- |
| 31.05 | 100.0 | 1 2 3 |
| 30.95 | 37.5 | 2 0 0 |
| 28.75 | 30.8 | 1 1 4 |
| 55.12 | 20.9 | 3 2 3 |
| 31.36 | 18.3 | 1 0 5 |
| 32.77 | 13.8 | 0 0 6 |
| 60.78 | 13.3 | 2 3 7 |
| 59.60 | 12.9 | 1 1 10 |
| 32.57 | 12.2 | 0 3 1 |
| 62.03 | 11.9 | 1 5 4 |

Cell and atoms:
Unit cell a=5.7782 b=8.3657 c=16.3984 alpha=90.00 beta=90.00 gamma=90.00
Space group Immm (No. 71)
Unique sites:
La  0.0000  0.0000  0.1639 (multiplicity 4)
La  0.0000  0.1996  0.3623 (multiplicity 8)
La  0.0000  0.2953  0.0000 (multiplicity 4)
Pr  0.0000  0.5000  0.5000 (multiplicity 2)
Tm  0.0000  0.5000  0.2013 (multiplicity 4)

***

This entry pairs a crystal structure of La4PrTm7 with its theoretical PXRD pattern. Radiation: Cu Kα. Structure: DFT lattice parameters and positions (PBE).
No peak broadening, texture or thermal motion is included.

Peak list (10 most intense, 10° ≤ 2θ ≤ 80°, most intense first)
| two_theta | I_rel | h k l |
| --- | --- | --- |
| 30.18 | 100.0 | 0 2 0 |
| 32.12 | 75.8 | 1 1 3 |
| 33.30 | 69.6 | 3 1 -4 |
| 33.08 | 61.1 | 3 1 1 |
| 30.35 | 51.0 | 4 0 -1 |
| 43.33 | 41.1 | 4 2 -1 |
| 32.23 | 39.9 | 1 1 -4 |
| 54.87 | 34.0 | 1 3 3 |
| 30.48 | 29.2 | 4 0 -3 |
| 43.42 | 22.3 | 4 2 -3 |

Cell and atoms:
Unit cell a=12.1671 b=5.9226 c=12.8946 alpha=90.00 beta=117.67 gamma=90.00
Space group C2/m (No. 12)
Unique sites:
La  0.1332  0.0000  0.2776 (multiplicity 4)
La  0.2173  0.5000  0.1612 (multiplicity 4)
Pr  0.0000  0.5000  0.5000 (multiplicity 2)
Tm  0.0000  0.0000  0.5000 (multiplicity 2)
Tm  0.0715  0.5000  0.8114 (multiplicity 4)
Tm  0.1333  0.0000  0.9940 (multiplicity 4)
Tm  0.2108  0.5000  0.4239 (multiplicity 4)

***

This entry pairs a crystal structure of La3Pr8Tm with its theoretical PXRD pattern. Radiation: Cu Kα. Structure: DFT lattice parameters and positions (PBE).
No peak broadening, texture or thermal motion is included.

Peak list (10 most intense, 10° ≤ 2θ ≤ 80°, most intense first)
| two_theta | I_rel | h k l |
| --- | --- | --- |
| 35.16 | 100.0 | 3 1 2 |
| 28.14 | 81.0 | 2 2 0 |
| 30.52 | 72.7 | 0 0 4 |
| 43.19 | 66.1 | 4 0 2 |
| 23.44 | 60.7 | 2 1 1 |
| 42.00 | 54.3 | 2 2 4 |
| 25.01 | 51.0 | 2 0 2 |
| 13.97 | 33.6 | 1 1 0 |
| 32.10 | 31.1 | 2 2 2 |
| 54.47 | 31.1 | 5 1 2 |

Cell and atoms:
Unit cell a=8.9681 b=8.9681 c=11.7154 alpha=90.00 beta=90.00 gamma=90.00
Space group I-42m (No. 121)
Unique sites:
La  0.0000  0.0000  0.0000 (multiplicity 2)
La  0.0000  0.5000  0.2500 (multiplicity 4)
Pr  0.1224  0.1224  0.2516 (multiplicity 8)
Pr  0.2478  0.2478  0.5068 (multiplicity 8)
Tm  0.0000  0.0000  0.5000 (multiplicity 2)

***

This entry pairs a crystal structure of La5Pr2Tm with its theoretical PXRD pattern. Radiation: Cu Kα. Structure: DFT lattice parameters and positions (PBE).
No peak broadening, texture or thermal motion is included.

Peak list (10 most intense, 10° ≤ 2θ ≤ 80°, most intense first)
| two_theta | I_rel | h k l |
| --- | --- | --- |
| 29.50 | 100.0 | 2 2 -2 |
| 31.12 | 99.3 | 2 3 1 |
| 32.06 | 48.7 | 4 1 -1 |
| 30.79 | 39.6 | 3 0 2 |
| 31.23 | 36.1 | 0 1 3 |
| 28.11 | 35.0 | 1 3 1 |
| 45.06 | 24.8 | 1 2 4 |
| 30.58 | 23.2 | 2 2 2 |
| 31.75 | 21.2 | 1 1 -3 |
| 26.23 | 18.0 | 3 1 1 |

Cell and atoms:
Unit cell a=12.0289 b=10.6884 c=8.9305 alpha=90.00 beta=93.03 gamma=90.00
Space group P2_1/c (No. 14)
Unique sites:
La  0.0017  0.2498  0.2508 (multiplicity 4)
La  0.2372  0.6748  0.4593 (multiplicity 4)
La  0.2392  0.1750  0.9604 (multiplicity 4)
La  0.4246  0.1582  0.6438 (multiplicity 4)
La  0.4255  0.6635  0.1468 (multiplicity 4)
Pr  0.1465  0.5006  0.1034 (multiplicity 4)
Pr  0.2817  0.9999  0.2878 (multiplicity 4)
Tm  0.0000  0.0000  0.0000 (multiplicity 2)
Tm  0.5000  0.0000  0.0000 (multiplicity 2)

***

This entry pairs a crystal structure of LaPr2Tm6 with its theoretical PXRD pattern. Radiation: Cu Kα. Structure: DFT lattice parameters and positions (PBE).
No peak broadening, texture or thermal motion is included.

Peak list (10 most intense, 10° ≤ 2θ ≤ 80°, most intense first)
| two_theta | I_rel | h k l |
| --- | --- | --- |
| 31.11 | 100.0 | 2 2 -2 |
| 31.55 | 51.4 | 4 2 -1 |
| 28.88 | 39.1 | 0 4 1 |
| 32.56 | 35.0 | 1 5 0 |
| 33.79 | 32.4 | 2 0 2 |
| 33.56 | 31.7 | 2 4 1 |
| 33.23 | 22.7 | 1 3 -2 |
| 28.41 | 20.0 | 3 1 1 |
| 58.60 | 17.2 | 4 0 -4 |
| 58.78 | 14.6 | 0 2 4 |

Cell and atoms:
Unit cell a=12.8829 b=14.0896 c=6.5931 alpha=90.00 beta=102.12 gamma=90.00
Space group C2/c (No. 15)
Unique sites:
La  0.0000  0.1209  0.2500 (multiplicity 4)
Pr  0.1424  0.4709  0.3738 (multiplicity 8)
Tm  0.0325  0.3105  0.9981 (multiplicity 8)
Tm  0.1333  0.0870  0.8188 (multiplicity 8)
Tm  0.2408  0.2965  0.7382 (multiplicity 8)

***

This entry pairs a crystal structure of La2PrTm6 with its theoretical PXRD pattern. Radiation: Cu Kα. Structure: DFT lattice parameters and positions (PBE).
No peak broadening, texture or thermal motion is included.

Peak list (10 most intense, 10° ≤ 2θ ≤ 80°, most intense first)
| two_theta | I_rel | h k l |
| --- | --- | --- |
| 31.74 | 100.0 | 3 0 0 |
| 31.28 | 84.6 | 2 -1 1 |
| 45.16 | 28.9 | 2 2 1 |
| 56.25 | 28.4 | 5 -1 1 |
| 56.54 | 19.0 | 3 3 0 |
| 62.06 | 17.3 | 3 0 2 |
| 66.31 | 13.5 | 6 0 0 |
| 33.06 | 13.0 | 2 0 1 |
| 37.98 | 11.9 | 1 2 1 |
| 75.14 | 10.4 | 5 2 1 |

Cell and atoms:
Unit cell a=9.7661 b=9.7661 c=3.5285 alpha=90.00 beta=90.00 gamma=120.00
Space group P-3 (No. 147)
Unique sites:
La  0.3333  0.6667  0.2361 (multiplicity 2)
Pr  0.0000  0.0000  0.0000 (multiplicity 1)
Tm  0.0192  0.6718  0.7275 (multiplicity 6)

***

This entry pairs a crystal structure of LaPr6Y3Tm2 with its theoretical PXRD pattern. Radiation: Cu Kα. Structure: DFT lattice parameters and positions (PBE).
No peak broadening, texture or thermal motion is included.

Peak list (10 most intense, 10° ≤ 2θ ≤ 80°, most intense first)
| two_theta | I_rel | h k l |
| --- | --- | --- |
| 29.99 | 100.0 | 1 3 1 |
| 34.86 | 66.9 | 2 0 2 |
| 30.32 | 32.4 | 0 0 4 |
| 59.52 | 28.3 | 3 3 3 |
| 49.91 | 24.1 | 0 6 0 |
| 50.34 | 23.5 | 1 3 5 |
| 59.32 | 14.3 | 4 0 0 |
| 59.91 | 14.1 | 2 0 6 |
| 62.31 | 12.3 | 2 6 2 |
| 73.61 | 7.5 | 4 0 4 |

Cell and atoms:
Unit cell a=6.3297 b=10.9652 c=11.9792 alpha=90.00 beta=100.14 gamma=90.00
Space group C2/m (No. 12)
Unique sites:
La  0.0000  0.0000  0.0000 (multiplicity 2)
Pr  0.2486  0.3328  0.7496 (multiplicity 8)
Pr  0.2501  0.0000  0.7494 (multiplicity 4)
Y  0.0000  0.1671  0.5000 (multiplicity 4)
Y  0.0000  0.5000  0.5000 (multiplicity 2)
Tm  0.0000  0.3335  0.0000 (multiplicity 4)

***

This entry pairs a crystal structure of La2Pr2YTm2 with its theoretical PXRD pattern. Radiation: Cu Kα. Structure: DFT lattice parameters and positions (PBE).
No peak broadening, texture or thermal motion is included.

Peak list (10 most intense, 10° ≤ 2θ ≤ 80°, most intense first)
| two_theta | I_rel | h k l |
| --- | --- | --- |
| 29.97 | 100.0 | 3 1 -1 |
| 30.16 | 98.2 | 1 1 2 |
| 34.92 | 66.4 | 4 0 1 |
| 50.05 | 59.8 | 4 2 1 |
| 59.47 | 42.6 | 7 1 0 |
| 34.71 | 34.0 | 0 2 0 |
| 59.81 | 27.7 | 5 1 3 |
| 59.31 | 14.4 | 3 3 -1 |
| 62.29 | 12.4 | 6 2 -2 |
| 62.70 | 12.0 | 2 2 4 |

Cell and atoms:
Unit cell a=11.5297 b=5.1691 c=8.1032 alpha=90.00 beta=98.49 gamma=90.00
Space group C2/m (No. 12)
Unique sites:
La  0.1441  0.0000  0.4293 (multiplicity 4)
Pr  0.0719  0.5000  0.7213 (multiplicity 4)
Y  0.0000  0.0000  0.0000 (multiplicity 2)
Tm  0.2156  0.5000  0.1377 (multiplicity 4)

***

This entry pairs a crystal structure of LaPr2Y2Tm2 with its theoretical PXRD pattern. Radiation: Cu Kα. Structure: DFT lattice parameters and positions (PBE).
No peak broadening, texture or thermal motion is included.

Peak list (10 most intense, 10° ≤ 2θ ≤ 80°, most intense first)
| two_theta | I_rel | h k l |
| --- | --- | --- |
| 30.16 | 100.0 | 2 0 3 |
| 30.63 | 88.7 | 4 0 -1 |
| 34.25 | 84.9 | 1 1 -3 |
| 34.59 | 78.0 | 3 1 0 |
| 31.71 | 75.9 | 2 0 -4 |
| 27.13 | 68.9 | 1 1 -1 |
| 61.46 | 46.6 | 4 2 -1 |
| 52.67 | 37.4 | 5 1 -4 |
| 29.88 | 29.5 | 1 1 -2 |
| 61.17 | 28.5 | 2 2 3 |

Cell and atoms:
Unit cell a=11.6954 b=3.5261 c=11.8576 alpha=90.00 beta=100.98 gamma=90.00
Space group C2/m (No. 12)
Unique sites:
La  0.0000  0.0000  0.0000 (multiplicity 2)
Pr  0.1552  0.5000  0.5761 (multiplicity 4)
Y  0.0918  0.5000  0.2704 (multiplicity 4)
Tm  0.2057  0.5000  0.8729 (multiplicity 4)

***

This entry pairs a crystal structure of La2Pr5YTm with its theoretical PXRD pattern. Radiation: Cu Kα. Structure: DFT lattice parameters and positions (PBE).
No peak broadening, texture or thermal motion is included.

Peak list (10 most intense, 10° ≤ 2θ ≤ 80°, most intense first)
| two_theta | I_rel | h k l |
| --- | --- | --- |
| 30.89 | 100.0 | 1 5 2 |
| 32.02 | 33.1 | 2 0 0 |
| 30.50 | 24.6 | 1 1 3 |
| 56.36 | 19.9 | 3 5 2 |
| 59.30 | 18.7 | 1 13 2 |
| 26.27 | 18.3 | 1 3 2 |
| 34.32 | 16.6 | 0 0 4 |
| 47.64 | 13.2 | 2 0 4 |
| 25.54 | 11.3 | 0 6 1 |
| 32.25 | 10.5 | 0 8 0 |

Cell and atoms:
Unit cell a=5.5909 b=22.2055 c=10.4511 alpha=90.00 beta=90.00 gamma=90.00
Space group Cmcm (No. 63)
Unique sites:
La  0.0000  0.1160  0.0119 (multiplicity 8)
Pr  0.0000  0.0025  0.7500 (multiplicity 4)
Pr  0.0000  0.2776  0.0597 (multiplicity 8)
Pr  0.0000  0.3763  0.7500 (multiplicity 4)
Pr  0.0000  0.5000  0.0000 (multiplicity 4)
Y  0.0000  0.3972  0.2500 (multiplicity 4)
Tm  0.0000  0.2121  0.7500 (multiplicity 4)

***

This entry pairs a crystal structure of LaPr3Y7 with its theoretical PXRD pattern. Radiation: Cu Kα. Structure: DFT lattice parameters and positions (PBE).
No peak broadening, texture or thermal motion is included.

Peak list (10 most intense, 10° ≤ 2θ ≤ 80°, most intense first)
| two_theta | I_rel | h k l |
| --- | --- | --- |
| 30.54 | 100.0 | 2 0 1 |
| 35.37 | 66.9 | 0 2 2 |
| 60.54 | 41.1 | 0 4 1 |
| 30.41 | 33.5 | 0 0 3 |
| 50.80 | 23.6 | 2 0 4 |
| 50.96 | 23.3 | 2 2 0 |
| 60.36 | 13.7 | 0 2 5 |
| 14.27 | 12.3 | 1 0 0 |
| 63.56 | 11.8 | 4 0 2 |
| 17.47 | 9.9 | 1 0 1 |

Cell and atoms:
Unit cell a=7.1675 b=7.1675 c=8.8184 alpha=90.00 beta=90.00 gamma=120.00
Space group P3m1 (No. 156)
Unique sites:
La  0.0000  0.0000  0.0000 (multiplicity 1)
Pr  0.1669  0.3338  0.6614 (multiplicity 3)
Y  0.0014  0.5007  0.0002 (multiplicity 3)
Y  0.3329  0.1664  0.3269 (multiplicity 3)
Y  0.3333  0.6667  0.3245 (multiplicity 1)